Structure and computed X-ray powder pattern of Al2In2I7 (a structure optimized by DFT (GGA-PBE); Cu Kα X-rays).

Cell and atoms:
```
Al2In2I7
1.0
7.251 0.000 0.000
0.000 17.307 0.000
-1.314 0.000 8.806
Al In I
4 4 14
Direct
0.158 0.113 0.341
0.158 0.387 0.841
0.842 0.613 0.159
0.842 0.887 0.659
0.377 0.654 0.578
0.377 0.846 0.078
0.623 0.154 0.922
0.623 0.346 0.422
0.000 0.000 0.500
0.000 0.500 0.000
0.085 0.720 0.263
0.085 0.780 0.763
0.292 0.056 0.106
0.292 0.444 0.606
0.433 0.178 0.523
0.433 0.322 0.023
0.567 0.678 0.977
0.567 0.822 0.477
0.708 0.556 0.394
0.708 0.944 0.894
0.915 0.220 0.237
0.915 0.280 0.737
```

Peak list (8 most intense, 10° ≤ 2θ ≤ 80°, in order of falling intensity)
h k l	Position (°2θ)	intensity
1 4 -1	25.36	1000
1 2 -2	24.38	864
1 0 2	25.25	640
1 1 1	17.82	626
2 1 -1	25.93	461
1 4 0	24.02	450
1 2 -1	17.97	445
2 4 1	35.14	426